Calculated PXRD pattern of Na5CaAl5FeSi12O36 for Cu Kα, from a crystal structure in the Materials Project, relaxed with PBE+U.

Principal peaks in the range 2θ from 10° to 90°, by intensity:
30.13°, rel. 100, hkl 2 2 -3
31.02°, rel. 63, hkl 3 1 0
35.50°, rel. 61, hkl 0 0 6
36.47°, rel. 38, hkl 2 2 3
42.98°, rel. 22, hkl 3 3 -3
67.42°, rel. 18, hkl 5 3 3
57.61°, rel. 18, hkl 5 3 -3
45.29°, rel. 18, hkl 0 4 3
61.77°, rel. 17, hkl 1 3 -9
20.37°, rel. 16, hkl 0 2 0

abc: 9.6063 8.7201 15.8926
angles: 90.00 107.24 90.00
Space group C2 (No. 5)
Symmetry-distinct sites (fractional):
Na (0.0000, 0.0000, 0.0000) [2 per cell]
Na (0.0011, 0.3945, 0.8346) [4 per cell]
Na (0.0006, 0.9979, 0.3334) [4 per cell]
Ca (0.0000, 0.3957, 0.5000) [2 per cell]
Al (0.0000, 0.6005, 0.0000) [2 per cell]
Al (0.0006, 0.7939, 0.8349) [4 per cell]
Al (0.0024, 0.6049, 0.6706) [4 per cell]
Fe (0.0000, 0.8014, 0.5000) [2 per cell]
Si (0.2085, 0.1034, 0.1740) [4 per cell]
Si (0.2090, 0.2923, 0.3369) [4 per cell]
Si (0.2113, 0.1030, 0.8426) [4 per cell]
Si (0.2111, 0.2907, 0.0085) [4 per cell]
Si (0.2120, 0.2878, 0.6765) [4 per cell]
Si (0.2160, 0.1072, 0.5073) [4 per cell]
O (0.1063, 0.6108, 0.4526) [4 per cell]
O (0.1090, 0.6217, 0.1248) [4 per cell]
O (0.1091, 0.7724, 0.2903) [4 per cell]
O (0.1093, 0.7725, 0.9590) [4 per cell]
O (0.1116, 0.6204, 0.7940) [4 per cell]
O (0.1153, 0.7721, 0.6389) [4 per cell]
O (0.1338, 0.4530, 0.6502) [4 per cell]
O (0.1341, 0.4587, 0.3121) [4 per cell]
O (0.1377, 0.4578, 0.9853) [4 per cell]
O (0.1379, 0.9352, 0.1507) [4 per cell]
O (0.1378, 0.9362, 0.8201) [4 per cell]
O (0.1412, 0.1822, 0.2482) [4 per cell]
O (0.1478, 0.2065, 0.0826) [4 per cell]
O (0.1486, 0.1890, 0.5820) [4 per cell]
O (0.1490, 0.1886, 0.9165) [4 per cell]
O (0.1488, 0.2039, 0.7498) [4 per cell]
O (0.1522, 0.9417, 0.4769) [4 per cell]
O (0.1531, 0.2201, 0.4188) [4 per cell]

***

Calculated PXRD pattern of NaCa3AlFe3Si8O24 for Cu Kα, from a crystal structure in the Materials Project, relaxed with PBE+U.

Principal peaks in the range 2θ from 10° to 90°, by intensity:
29.50°, rel. 100, hkl 1 2 1
35.38°, rel. 44, hkl 1 2 -3
35.02°, rel. 43, hkl 2 0 -2
30.00°, rel. 39, hkl 0 1 3
34.65°, rel. 32, hkl 1 3 0
41.91°, rel. 22, hkl 1 3 2
13.58°, rel. 21, hkl 0 1 1
65.02°, rel. 18, hkl 1 3 -6
55.73°, rel. 18, hkl 3 2 -1
55.96°, rel. 16, hkl 1 3 4

abc: 5.3389 8.9826 9.8150
angles: 90.00 105.17 90.00
Space group P2 (No. 3)
Symmetry-distinct sites (fractional):
Na (0.0000, 0.0000, 0.0000) [1 per cell]
Ca (0.0000, 0.9002, 0.5000) [1 per cell]
Ca (0.5000, 0.3979, 0.0000) [1 per cell]
Ca (0.5000, 0.4952, 0.5000) [1 per cell]
Al (0.5000, 0.8004, 0.0000) [1 per cell]
Fe (0.0000, 0.2904, 0.5000) [1 per cell]
Fe (0.0000, 0.6084, 0.0000) [1 per cell]
Fe (0.5000, 0.1029, 0.5000) [1 per cell]
Si (0.1935, 0.2864, 0.2090) [2 per cell]
Si (0.2000, 0.6110, 0.7161) [2 per cell]
Si (0.3068, 0.1001, 0.7946) [2 per cell]
Si (0.3084, 0.7926, 0.2822) [2 per cell]
O (0.0991, 0.6825, 0.3413) [2 per cell]
O (0.1023, 0.2122, 0.8528) [2 per cell]
O (0.2058, 0.4457, 0.1354) [2 per cell]
O (0.2132, 0.4510, 0.6452) [2 per cell]
O (0.2166, 0.1020, 0.6231) [2 per cell]
O (0.2501, 0.7855, 0.1108) [2 per cell]
O (0.2822, 0.2870, 0.3805) [2 per cell]
O (0.2836, 0.9486, 0.3564) [2 per cell]
O (0.2987, 0.6276, 0.8875) [2 per cell]
O (0.3090, 0.9410, 0.8713) [2 per cell]
O (0.3967, 0.7176, 0.6450) [2 per cell]
O (0.4033, 0.1823, 0.1469) [2 per cell]